The following is a theoretical powder diffraction line list of LiZn2GeO4. It was derived from a DFT-relaxed cell (GGA-PBE, Alexandria), using λ = 1.5418 Å (Cu Kα).
Kinematic intensities with the Lorentz-polarization factor, no thermal factor.

Structure:
```
data_LiZn2GeO4
_space_group_name_H-M_alt 'I -4 2 m'
_space_group_IT_number 121
_space_group_name_Hall 'I -4 2'
_cell_length_a 4.6690
_cell_length_b 4.6690
_cell_length_c 9.0779
_cell_angle_alpha 90.00
_cell_angle_beta 90.00
_cell_angle_gamma 90.00
loop_
_atom_site_label
_atom_site_type_symbol
_atom_site_fract_x
_atom_site_fract_y
_atom_site_fract_z
Li1 Li 0.0000 0.0000 0.0000
Zn1 Zn 0.0000 0.5000 0.2500
Ge1 Ge 0.0000 0.0000 0.5000
O1 O 0.2304 0.2304 0.3828
```

Largest 10 diffraction maxima, in order of rising 2θ, 2θ = 10–90°:
21.40°, rel. 33.9, (1 0 1)
33.57°, rel. 100.0, (1 1 2)
35.35°, rel. 6.8, (1 0 3)
38.57°, rel. 16.2, (2 0 0)
39.72°, rel. 7.4, (0 0 4)
44.52°, rel. 7.1, (2 1 1)
55.68°, rel. 15.8, (2 2 0)
56.56°, rel. 30.1, (2 0 4)
66.61°, rel. 24.4, (3 1 2)
68.18°, rel. 11.4, (1 1 6)

---

The following is a theoretical powder diffraction line list of CaHo2Cd4. It was derived from a DFT-relaxed cell (GGA-PBE, Alexandria), using λ = 1.5418 Å (Cu Kα).
Kinematic intensities with the Lorentz-polarization factor, no thermal factor.

Structure:
```
data_CaHo2Cd4
_space_group_name_H-M_alt 'I 4/m m m'
_space_group_IT_number 139
_space_group_name_Hall '-I 4 2'
_cell_length_a 5.1032
_cell_length_b 5.1032
_cell_length_c 15.5085
_cell_angle_alpha 90.00
_cell_angle_beta 90.00
_cell_angle_gamma 90.00
loop_
_atom_site_label
_atom_site_type_symbol
_atom_site_fract_x
_atom_site_fract_y
_atom_site_fract_z
Ca1 Ca 0.0000 0.0000 0.0000
Ho1 Ho 0.0000 0.0000 0.2512
Cd1 Cd 0.0000 0.5000 0.1246
```

Largest 10 diffraction maxima, in order of rising 2θ, 2θ = 10–90°:
11.41°, rel. 36.3, (0 0 2)
27.26°, rel. 20.8, (1 1 2)
33.94°, rel. 100.0, (1 1 4)
35.17°, rel. 45.4, (2 0 0)
37.09°, rel. 9.0, (2 0 2)
46.87°, rel. 9.9, (0 0 8)
50.59°, rel. 15.8, (2 2 0)
59.92°, rel. 18.6, (2 0 8)
62.32°, rel. 33.1, (3 1 4)
71.42°, rel. 10.9, (2 2 8)

---

The following is a theoretical powder diffraction line list of Pr2PaH12Rh3. It was derived from a DFT-relaxed cell (GGA-PBE, Alexandria), using λ = 1.5418 Å (Cu Kα).
Kinematic intensities with the Lorentz-polarization factor, no thermal factor.

Structure:
```
data_Pr2PaH12Rh3
_space_group_name_H-M_alt 'R -3 m'
_space_group_IT_number 166
_space_group_name_Hall '-R 3 2"'
_cell_length_a 6.6121
_cell_length_b 6.6121
_cell_length_c 14.6292
_cell_angle_alpha 90.00
_cell_angle_beta 90.00
_cell_angle_gamma 120.00
loop_
_atom_site_label
_atom_site_type_symbol
_atom_site_fract_x
_atom_site_fract_y
_atom_site_fract_z
Pr1 Pr 0.0000 0.0000 0.1152
Pa1 Pa 0.0000 0.0000 0.5000
H1 H 0.0374 0.5187 0.8818
H2 H 0.0641 0.5320 0.3100
Rh1 Rh 0.0000 0.5000 0.0000
```

Largest 10 diffraction maxima, in order of rising 2θ, 2θ = 10–90°:
26.97°, rel. 53.5, (1 1 0)
31.85°, rel. 21.3, (0 2 1)
32.73°, rel. 100.0, (1 1 3)
33.61°, rel. 63.2, (2 0 2)
34.42°, rel. 60.3, (0 1 5)
51.41°, rel. 28.3, (0 3 3)
52.59°, rel. 44.3, (1 2 5)
55.60°, rel. 31.8, (2 2 0)
60.03°, rel. 22.8, (2 0 8)
67.04°, rel. 25.2, (3 1 5)

---

The following is a theoretical powder diffraction line list of CaZnSi3O8. It was derived from a DFT-relaxed cell (GGA-PBE, Alexandria), using λ = 1.5418 Å (Cu Kα).
Kinematic intensities with the Lorentz-polarization factor, no thermal factor.

Structure:
```
data_CaZnSi3O8
_space_group_name_H-M_alt 'P -1'
_space_group_IT_number 2
_cell_length_a 7.3064
_cell_length_b 7.3633
_cell_length_c 8.0918
_cell_angle_alpha 115.74
_cell_angle_beta 106.69
_cell_angle_gamma 100.46
loop_
_space_group_symop_operation_xyz
'x,y,z'
'-x,-y,-z'
loop_
_atom_site_label
_atom_site_type_symbol
_atom_site_fract_x
_atom_site_fract_y
_atom_site_fract_z
Ca1 Ca 0.1460 0.2775 0.2309
Zn1 Zn 0.2081 0.8255 0.1906
Si1 Si 0.2491 0.1677 0.8288
Si2 Si 0.3079 0.5803 0.8059
Si3 Si 0.3684 0.7765 0.5596
O1 O 0.0509 0.0985 0.8715
O2 O 0.1743 0.7050 0.9059
O3 O 0.2324 0.3268 0.7390
O4 O 0.2652 0.6584 0.3155
O5 O 0.2745 0.9591 0.6651
O6 O 0.2803 0.5706 0.5907
O7 O 0.3849 0.1319 0.3345
O8 O 0.4457 0.2998 0.0494
```

Largest 10 diffraction maxima, in order of rising 2θ, 2θ = 10–90°:
21.89°, rel. 45.8, (-1 1 1)
22.97°, rel. 47.7, (0 1 -2)
24.62°, rel. 62.9, (0 2 -1)
26.86°, rel. 57.8, (0 0 2)
27.26°, rel. 100.0, (2 0 0)
27.38°, rel. 96.4, (-2 1 1)
28.79°, rel. 44.0, (0 2 0)
29.37°, rel. 43.4, (2 0 -2)
30.43°, rel. 35.0, (1 2 -1)
33.33°, rel. 58.9, (2 -2 1)

---

The following is a theoretical powder diffraction line list of MoSBr3. It was derived from a DFT-relaxed cell (GGA-PBE, Alexandria), using λ = 1.5418 Å (Cu Kα).
Kinematic intensities with the Lorentz-polarization factor, no thermal factor.

Structure:
```
data_MoSBr3
_space_group_name_H-M_alt 'C m c m'
_space_group_IT_number 63
_space_group_name_Hall '-C 2c 2'
_cell_length_a 7.8717
_cell_length_b 11.5723
_cell_length_c 6.8597
_cell_angle_alpha 90.00
_cell_angle_beta 90.00
_cell_angle_gamma 90.00
loop_
_atom_site_label
_atom_site_type_symbol
_atom_site_fract_x
_atom_site_fract_y
_atom_site_fract_z
Mo1 Mo 0.0000 0.0137 0.2500
S1 S 0.0000 0.1955 0.2500
Br1 Br 0.0000 0.2163 0.7500
Br2 Br 0.2479 0.0000 0.0000
```

Largest 10 diffraction maxima, in order of rising 2θ, 2θ = 10–90°:
13.60°, rel. 100.0, (1 1 0)
15.31°, rel. 57.2, (0 2 0)
27.41°, rel. 32.2, (2 2 0)
29.44°, rel. 28.8, (1 1 2)
30.29°, rel. 24.6, (0 2 2)
30.91°, rel. 41.4, (0 4 0)
34.69°, rel. 85.2, (2 0 2)
38.12°, rel. 23.7, (2 2 2)
47.14°, rel. 56.4, (2 4 2)
48.87°, rel. 21.5, (1 5 2)

---

The following is a theoretical powder diffraction line list of PmTlPb2Br8. It was derived from a DFT-relaxed cell (GGA-PBE, Alexandria), using λ = 1.5418 Å (Cu Kα).
Kinematic intensities with the Lorentz-polarization factor, no thermal factor.

Structure:
```
data_PmTlPb2Br8
_space_group_name_H-M_alt 'P 1 2/m 1'
_space_group_IT_number 10
_cell_length_a 6.9286
_cell_length_b 9.2974
_cell_length_c 7.3149
_cell_angle_alpha 90.00
_cell_angle_beta 90.75
_cell_angle_gamma 90.00
loop_
_space_group_symop_operation_xyz
'x,y,z'
'-x,-y,-z'
'-x,y,-z'
'x,-y,z'
loop_
_atom_site_label
_atom_site_type_symbol
_atom_site_fract_x
_atom_site_fract_y
_atom_site_fract_z
Pm1 Pm 0.0000 0.0000 0.0000
Tl1 Tl 0.0000 0.5000 0.0000
Pb1 Pb 0.5000 0.2527 0.5000
Br1 Br 0.2415 0.2213 0.1577
Br2 Br 0.2443 0.0000 0.6766
Br3 Br 0.2698 0.5000 0.6349
```

Largest 10 diffraction maxima, in order of rising 2θ, 2θ = 10–90°:
17.52°, rel. 100.0, (1 0 -1)
17.75°, rel. 94.4, (1 0 1)
23.04°, rel. 90.8, (1 2 0)
26.02°, rel. 45.5, (1 2 -1)
33.63°, rel. 40.2, (1 2 -2)
33.89°, rel. 40.3, (1 2 2)
34.42°, rel. 75.8, (2 2 -1)
34.66°, rel. 76.4, (2 2 1)
38.74°, rel. 40.5, (0 4 0)
41.84°, rel. 67.7, (0 2 3)